Sr3Co2Cu2S2O5: computed X-ray diffraction stick pattern (copper Kα), based on a GGA+U-relaxed structure.

Most intense lines, 5 to 70 degrees two-theta, sorted by position:
2θ (°)	I/Imax
32.58	100.0
33.27	18.6
38.30	27.7
46.76	41.0
58.14	51.5
68.28	15.6

Structure:
```
14
Lattice="-1.9424 1.9424 13.6135 1.9424 -1.9424 13.6135 1.9424 1.9424 -13.6135" Properties=species:S:1:pos:R:3 pbc="T T T"
Sr 0.0000 0.0000 0.0000
Sr 0.0000 0.0000 3.7612
Sr 0.0000 0.0000 23.4657
Co 0.0000 0.0000 11.6668
Co 0.0000 0.0000 15.5602
Cu 1.9424 0.0000 6.8067
Cu 0.0000 1.9424 6.8067
S 0.0000 0.0000 8.2026
S 0.0000 0.0000 19.0243
O 1.9424 0.0000 2.2087
O 1.9424 0.0000 11.4047
O 0.0000 0.0000 13.6135
O 0.0000 1.9424 2.2087
O 0.0000 1.9424 11.4047
```